# Tb6P2PbS3
Computed powder XRD pattern, Cu Kα (weighted mean of Kα1 and Kα2). Input: a DFT-relaxed cell (PBE, Alexandria).
Peak positions follow from Bragg's law for the DFT cell and can differ from measured ones.

Atomic structure:
```
data_Tb6P2PbS3
_chemical_formula_sum 'Tb12 P4 Pb2 S6'
_cell_length_a 17.6918
_cell_length_b 4.0202
_cell_length_c 8.2039
_cell_angle_alpha 90.00
_cell_angle_beta 102.80
_cell_angle_gamma 90.00
_symmetry_space_group_name_H-M 'C 1 2/m 1'
_symmetry_Int_Tables_number 12
loop_
_symmetry_equiv_pos_as_xyz
'x,y,z'
'-x,-y,-z'
'-x,y,-z'
'x,-y,z'
'x+1/2,y+1/2,z'
'-x+1/2,-y+1/2,-z'
'-x+1/2,y+1/2,-z'
'x+1/2,-y+1/2,z'
loop_
_atom_site_label
_atom_site_fract_x
_atom_site_fract_y
_atom_site_fract_z
Tb1 0.0031 0.0000 0.2730
Tb2 0.1702 0.5000 0.5785
Tb3 0.1744 0.5000 0.0979
P1 0.1680 0.0000 0.3363
Pb1 0.0000 0.5000 0.0000
S1 0.0000 0.5000 0.5000
S2 0.1655 0.0000 0.8319
```

Peak list (8 most intense, 10° ≤ 2θ ≤ 80°, by angle)
hkl 3 1 0, 27.06 deg, intensity 18
hkl 1 1 -2, 31.14 deg, intensity 100
hkl 2 0 -4, 44.16 deg, intensity 12
hkl 5 1 2, 44.42 deg, intensity 24
hkl 7 1 -2, 44.77 deg, intensity 24
hkl 0 2 0, 45.10 deg, intensity 12
hkl 6 2 0, 55.80 deg, intensity 13
hkl 4 2 4, 73.48 deg, intensity 10